No. 1
AcLaPm6Sm2: simulated PXRD pattern (a wavelength of 1.5418 Å), based on a DFT-relaxed cell (PBE, Alexandria).
Neutral-atom scattering factors, no anomalous dispersion.

Structural model:
Unit cell a=9.146 b=9.146 c=9.919 alpha=93.28 beta=93.28 gamma=118.60
Fractional coordinates of all 20 atoms:
Ac (0.027, 0.973, 0.750)
Ac (0.973, 0.027, 0.250)
La (0.408, 0.592, 0.250)
La (0.592, 0.408, 0.750)
Pm (0.026, 0.562, 0.680)
Pm (0.122, 0.746, 0.056)
Pm (0.254, 0.878, 0.444)
Pm (0.293, 0.504, 0.880)
Pm (0.438, 0.974, 0.820)
Pm (0.496, 0.707, 0.620)
Pm (0.504, 0.293, 0.380)
Pm (0.562, 0.026, 0.180)
Pm (0.707, 0.496, 0.120)
Pm (0.746, 0.122, 0.556)
Pm (0.878, 0.254, 0.944)
Pm (0.974, 0.438, 0.320)
Sm (0.192, 0.306, 0.545)
Sm (0.306, 0.192, 0.045)
Sm (0.694, 0.808, 0.955)
Sm (0.808, 0.694, 0.455)

Top 10 peaks for 10° ≤ 2θ ≤ 90°, by angle:
- 2θ 27.4, d 3.261, rel. 81.2
- 2θ 29.5, d 3.032, rel. 65.9
- 2θ 29.8, d 2.995, rel. 82.3
- 2θ 30.0, d 2.979, rel. 65.2
- 2θ 30.1, d 2.967, rel. 100.0
- 2θ 30.5, d 2.930, rel. 52.6
- 2θ 31.0, d 2.881, rel. 38.8
- 2θ 32.7, d 2.739, rel. 59.9
- 2θ 33.6, d 2.667, rel. 20.9
- 2θ 57.5, d 1.602, rel. 21.6

=====

No. 2
AcLaTb2Pm4: simulated PXRD pattern (a wavelength of 1.5418 Å), based on a DFT-relaxed cell (PBE, Alexandria).
Neutral-atom scattering factors, no anomalous dispersion.

Structural model:
Unit cell a=7.377 b=7.382 c=10.426 alpha=90.00 beta=90.07 gamma=90.00
Fractional coordinates of all 16 atoms:
Ac (0.000, 0.000, 0.000)
Ac (0.000, 0.500, 0.500)
La (0.001, 0.000, 0.500)
La (0.501, 0.000, 0.500)
Tb (0.000, 0.500, 0.000)
Tb (0.500, 0.000, 0.000)
Tb (0.500, 0.500, 0.000)
Tb (0.500, 0.500, 0.500)
Pm (0.256, 0.253, 0.754)
Pm (0.256, 0.747, 0.754)
Pm (0.257, 0.254, 0.246)
Pm (0.257, 0.746, 0.246)
Pm (0.744, 0.253, 0.754)
Pm (0.744, 0.254, 0.246)
Pm (0.744, 0.746, 0.246)
Pm (0.744, 0.747, 0.754)

Top 10 peaks for 10° ≤ 2θ ≤ 90°, by angle:
- 2θ 29.7, d 3.012, rel. 100.0
- 2θ 34.4, d 2.608, rel. 50.8
- 2θ 49.4, d 1.844, rel. 36.6
- 2θ 58.7, d 1.573, rel. 40.0
- 2θ 58.8, d 1.571, rel. 3.6
- 2θ 61.6, d 1.506, rel. 12.6
- 2θ 72.5, d 1.304, rel. 5.8
- 2θ 80.2, d 1.197, rel. 14.8
- 2θ 80.3, d 1.196, rel. 2.9
- 2θ 82.7, d 1.167, rel. 13.7

=====

No. 3
AcLa5Tb2Pm: simulated PXRD pattern (a wavelength of 1.5418 Å), based on a DFT-relaxed cell (PBE, Alexandria).
Neutral-atom scattering factors, no anomalous dispersion.

Structural model:
Unit cell a=8.113 b=8.113 c=10.332 alpha=90.00 beta=90.00 gamma=90.00
Fractional coordinates of all 18 atoms:
Ac (0.000, 0.000, 0.000)
Ac (0.500, 0.500, 0.000)
La (0.000, 0.000, 0.500)
La (0.195, 0.305, 0.248)
La (0.195, 0.305, 0.752)
La (0.305, 0.805, 0.248)
La (0.305, 0.805, 0.752)
La (0.500, 0.500, 0.500)
La (0.695, 0.195, 0.248)
La (0.695, 0.195, 0.752)
La (0.805, 0.695, 0.248)
La (0.805, 0.695, 0.752)
Tb (0.130, 0.630, 0.500)
Tb (0.370, 0.130, 0.500)
Tb (0.630, 0.870, 0.500)
Tb (0.870, 0.370, 0.500)
Pm (0.000, 0.500, 0.000)
Pm (0.500, 0.000, 0.000)

Top 10 peaks for 10° ≤ 2θ ≤ 90°, by angle:
- 2θ 26.0, d 3.423, rel. 15.9
- 2θ 28.0, d 3.190, rel. 100.0
- 2θ 30.1, d 2.969, rel. 62.0
- 2θ 31.2, d 2.868, rel. 31.7
- 2θ 34.7, d 2.583, rel. 32.1
- 2θ 35.0, d 2.566, rel. 19.2
- 2θ 47.4, d 1.919, rel. 20.0
- 2θ 49.6, d 1.839, rel. 15.5
- 2θ 50.1, d 1.820, rel. 14.0
- 2θ 53.5, d 1.712, rel. 14.9

=====

No. 4
AcLa2PmTl2: simulated PXRD pattern (a wavelength of 1.5418 Å), based on a DFT-relaxed cell (PBE, Alexandria).
Neutral-atom scattering factors, no anomalous dispersion.

Structural model:
Unit cell a=5.524 b=10.087 c=7.293 alpha=90.00 beta=90.00 gamma=90.00
Fractional coordinates of all 12 atoms:
Ac (0.000, 0.038, 0.000)
Ac (0.000, 0.962, 0.500)
La (0.000, 0.336, 0.301)
La (0.000, 0.664, 0.801)
La (0.500, 0.461, 0.016)
La (0.500, 0.539, 0.516)
Pm (0.500, 0.176, 0.712)
Pm (0.500, 0.824, 0.212)
Tl (0.000, 0.340, 0.768)
Tl (0.000, 0.660, 0.268)
Tl (0.500, 0.154, 0.254)
Tl (0.500, 0.846, 0.754)

Top 10 peaks for 10° ≤ 2θ ≤ 90°, by angle:
- 2θ 30.2, d 2.955, rel. 40.1
- 2θ 30.7, d 2.913, rel. 100.0
- 2θ 31.1, d 2.872, rel. 92.3
- 2θ 32.4, d 2.762, rel. 50.6
- 2θ 43.6, d 2.074, rel. 14.1
- 2θ 44.9, d 2.018, rel. 27.5
- 2θ 55.4, d 1.659, rel. 14.1
- 2θ 56.7, d 1.622, rel. 18.0
- 2θ 57.0, d 1.615, rel. 16.9
- 2θ 60.1, d 1.539, rel. 19.3

=====

No. 5
AcLaPmY2: simulated PXRD pattern (a wavelength of 1.5418 Å), based on a DFT-relaxed cell (PBE, Alexandria).
Neutral-atom scattering factors, no anomalous dispersion.

Structural model:
Unit cell a=6.478 b=5.953 c=9.935 alpha=90.00 beta=108.68 gamma=90.00
Fractional coordinates of all 10 atoms:
Ac (0.070, 0.250, 0.304)
Ac (0.930, 0.750, 0.696)
La (0.136, 0.750, 0.097)
La (0.864, 0.250, 0.903)
Pm (0.336, 0.750, 0.502)
Pm (0.664, 0.250, 0.498)
Y (0.278, 0.250, 0.706)
Y (0.468, 0.250, 0.097)
Y (0.532, 0.750, 0.903)
Y (0.722, 0.750, 0.294)

Top 10 peaks for 10° ≤ 2θ ≤ 90°, by angle:
- 2θ 27.5, d 3.243, rel. 25.4
- 2θ 30.0, d 2.977, rel. 38.4
- 2θ 31.3, d 2.862, rel. 53.6
- 2θ 31.4, d 2.848, rel. 100.0
- 2θ 41.2, d 2.193, rel. 17.2
- 2θ 54.1, d 1.694, rel. 22.0
- 2θ 54.2, d 1.692, rel. 10.8
- 2θ 58.0, d 1.591, rel. 12.2
- 2θ 58.1, d 1.588, rel. 11.7
- 2θ 58.3, d 1.582, rel. 11.6

=====

No. 6
AcLa4Pr: simulated PXRD pattern (a wavelength of 1.5418 Å), based on a DFT-relaxed cell (PBE, Alexandria).
Neutral-atom scattering factors, no anomalous dispersion.

Structural model:
Unit cell a=7.561 b=6.243 c=9.724 alpha=90.00 beta=90.00 gamma=90.00
Fractional coordinates of all 12 atoms:
Ac (0.250, 0.000, 0.176)
Ac (0.750, 0.000, 0.824)
La (0.000, 0.000, 0.500)
La (0.017, 0.500, 0.825)
La (0.250, 0.500, 0.481)
La (0.483, 0.500, 0.825)
La (0.500, 0.000, 0.500)
La (0.517, 0.500, 0.175)
La (0.750, 0.500, 0.519)
La (0.983, 0.500, 0.175)
Pr (0.250, 0.000, 0.817)
Pr (0.750, 0.000, 0.183)

Top 10 peaks for 10° ≤ 2θ ≤ 90°, by angle:
- 2θ 27.5, d 3.240, rel. 98.5
- 2θ 28.6, d 3.122, rel. 71.2
- 2θ 29.1, d 3.069, rel. 100.0
- 2θ 33.3, d 2.693, rel. 99.3
- 2θ 40.1, d 2.249, rel. 54.9
- 2θ 51.0, d 1.792, rel. 21.2
- 2θ 53.7, d 1.707, rel. 25.6
- 2θ 55.1, d 1.667, rel. 28.8
- 2θ 56.9, d 1.617, rel. 19.6
- 2θ 64.4, d 1.447, rel. 29.7

=====

No. 7
Ac6LaPr3: simulated PXRD pattern (a wavelength of 1.5418 Å), based on a DFT-relaxed cell (PBE, Alexandria).
Neutral-atom scattering factors, no anomalous dispersion.

Structural model:
Unit cell a=11.679 b=11.679 c=7.167 alpha=90.00 beta=90.00 gamma=120.75
Fractional coordinates of all 20 atoms:
Ac (0.037, 0.963, 0.500)
Ac (0.051, 0.457, 0.956)
Ac (0.292, 0.360, 0.755)
Ac (0.293, 0.707, 0.664)
Ac (0.360, 0.292, 0.255)
Ac (0.457, 0.051, 0.456)
Ac (0.543, 0.949, 0.956)
Ac (0.640, 0.708, 0.755)
Ac (0.707, 0.293, 0.164)
Ac (0.708, 0.640, 0.255)
Ac (0.949, 0.543, 0.456)
Ac (0.963, 0.037, 0.000)
La (0.196, 0.804, 0.186)
La (0.804, 0.196, 0.686)
Pr (0.059, 0.306, 0.389)
Pr (0.306, 0.059, 0.889)
Pr (0.379, 0.621, 0.207)
Pr (0.621, 0.379, 0.707)
Pr (0.694, 0.941, 0.389)
Pr (0.941, 0.694, 0.889)

Top 10 peaks for 10° ≤ 2θ ≤ 90°, by angle:
- 2θ 26.4, d 3.377, rel. 69.3
- 2θ 26.5, d 3.366, rel. 86.3
- 2θ 26.6, d 3.345, rel. 59.1
- 2θ 29.2, d 3.060, rel. 100.0
- 2θ 29.3, d 3.045, rel. 35.1
- 2θ 29.5, d 3.032, rel. 34.1
- 2θ 30.7, d 2.916, rel. 86.3
- 2θ 33.1, d 2.704, rel. 21.9
- 2θ 40.8, d 2.211, rel. 26.6
- 2θ 54.3, d 1.690, rel. 36.1

=====

No. 8
Ac5La12Pr: simulated PXRD pattern (a wavelength of 1.5418 Å), based on a DFT-relaxed cell (PBE, Alexandria).
Neutral-atom scattering factors, no anomalous dispersion.

Structural model:
Unit cell a=11.387 b=11.387 c=6.563 alpha=106.19 beta=106.19 gamma=60.47
Fractional coordinates of all 18 atoms:
Ac (0.000, 0.000, 0.000)
Ac (0.167, 0.167, 0.503)
Ac (0.335, 0.335, 0.007)
Ac (0.665, 0.665, 0.993)
Ac (0.833, 0.833, 0.497)
La (0.004, 0.662, 0.997)
La (0.165, 0.504, 0.503)
La (0.174, 0.826, 0.500)
La (0.332, 0.668, 0.000)
La (0.338, 0.996, 0.003)
La (0.496, 0.835, 0.497)
La (0.504, 0.165, 0.503)
La (0.662, 0.004, 0.997)
La (0.668, 0.332, 0.000)
La (0.826, 0.174, 0.500)
La (0.835, 0.496, 0.497)
La (0.996, 0.338, 0.003)
Pr (0.500, 0.500, 0.500)

Top 10 peaks for 10° ≤ 2θ ≤ 90°, by angle:
- 2θ 28.7, d 3.106, rel. 100.0
- 2θ 33.2, d 2.701, rel. 34.4
- 2θ 33.6, d 2.668, rel. 16.7
- 2θ 47.6, d 1.910, rel. 12.6
- 2θ 47.9, d 1.898, rel. 24.7
- 2θ 56.6, d 1.627, rel. 22.5
- 2θ 56.6, d 1.626, rel. 7.5
- 2θ 57.1, d 1.612, rel. 14.7
- 2θ 59.5, d 1.553, rel. 13.1
- 2θ 77.5, d 1.232, rel. 12.0